Simulated powder XRD pattern
Compound: SiO2
Radiation: Cu Kα, 1.54184 Å
Structure: the GGA-PBE geometry in the Materials Project
Kinematic intensities with the Lorentz-polarization factor, no thermal factor.

Top 10 peaks for 10° ≤ 2θ ≤ 90°, by angle:
- d = 6.035 Å, 2θ 14.7, I 100
- d = 4.854 Å, 2θ 18.3, I 37
- d = 4.309 Å, 2θ 20.6, I 100
- d = 4.078 Å, 2θ 21.8, I 42
- d = 4.017 Å, 2θ 22.1, I 58
- d = 3.581 Å, 2θ 24.9, I 48
- d = 3.507 Å, 2θ 25.4, I 14
- d = 2.983 Å, 2θ 30.0, I 31
- d = 2.427 Å, 2θ 37.0, I 13
- d = 1.611 Å, 2θ 57.2, I 11

Crystal structure
a = 8.828 Å, b = 8.828 Å, c = 9.708 Å
α = 90.00°, β = 90.00°, γ = 121.56°
Fractional positions:
Si (0.063, 0.563, 0.843)
Si (0.091, 0.284, 0.651)
Si (0.216, 0.409, 0.349)
Si (0.284, 0.091, 0.349)
Si (0.409, 0.216, 0.651)
Si (0.437, 0.937, 0.843)
Si (0.563, 0.063, 0.157)
Si (0.591, 0.784, 0.349)
Si (0.716, 0.909, 0.651)
Si (0.784, 0.591, 0.651)
Si (0.909, 0.716, 0.349)
Si (0.937, 0.437, 0.157)
O (0.000, 0.500, 0.000)
O (0.086, 0.413, 0.766)
O (0.087, 0.414, 0.234)
O (0.096, 0.904, 0.350)
O (0.124, 0.376, 0.500)
O (0.250, 0.250, 0.311)
O (0.250, 0.250, 0.689)
O (0.250, 0.750, 0.843)
O (0.376, 0.124, 0.500)
O (0.404, 0.596, 0.350)
O (0.413, 0.086, 0.234)
O (0.414, 0.087, 0.766)
O (0.500, 0.000, 0.000)
O (0.586, 0.913, 0.234)
O (0.587, 0.914, 0.766)
O (0.596, 0.404, 0.650)
O (0.624, 0.876, 0.500)
O (0.750, 0.250, 0.157)
O (0.750, 0.750, 0.311)
O (0.750, 0.750, 0.689)
O (0.876, 0.624, 0.500)
O (0.904, 0.096, 0.650)
O (0.913, 0.586, 0.766)
O (0.914, 0.587, 0.234)

Simulated powder XRD pattern
Compound: SmAl3
Radiation: Cu Kα, 1.54184 Å
Structure: the GGA-PBE geometry in the Materials Project
Kinematic intensities with the Lorentz-polarization factor, no thermal factor.

Top 10 peaks for 10° ≤ 2θ ≤ 90°, by angle:
- d = 5.552 Å, 2θ 16.0, I 23
- d = 3.551 Å, 2θ 25.1, I 99
- d = 3.206 Å, 2θ 27.8, I 48
- d = 2.776 Å, 2θ 32.2, I 25
- d = 2.380 Å, 2θ 37.8, I 100
- d = 2.310 Å, 2θ 39.0, I 22
- d = 1.911 Å, 2θ 47.6, I 25
- d = 1.874 Å, 2θ 48.6, I 21
- d = 1.461 Å, 2θ 63.7, I 19
- d = 1.317 Å, 2θ 71.7, I 18

Crystal structure
a = 6.411 Å, b = 6.411 Å, c = 4.620 Å
α = 90.00°, β = 90.00°, γ = 120.00°
Fractional positions:
Sm (0.333, 0.667, 0.250)
Sm (0.667, 0.333, 0.750)
Al (0.143, 0.287, 0.750)
Al (0.143, 0.857, 0.750)
Al (0.287, 0.143, 0.250)
Al (0.713, 0.857, 0.750)
Al (0.857, 0.143, 0.250)
Al (0.857, 0.713, 0.250)

Simulated powder XRD pattern
Compound: Nd3Rh2
Radiation: Cu Kα, 1.54184 Å
Structure: the GGA-PBE geometry in the Materials Project
Kinematic intensities with the Lorentz-polarization factor, no thermal factor.

Top 10 peaks for 10° ≤ 2θ ≤ 90°, by angle:
- d = 3.088 Å, 2θ 28.9, I 37
- d = 2.866 Å, 2θ 31.2, I 65
- d = 2.841 Å, 2θ 31.5, I 22
- d = 2.809 Å, 2θ 31.9, I 37
- d = 2.750 Å, 2θ 32.6, I 100
- d = 2.565 Å, 2θ 35.0, I 71
- d = 2.394 Å, 2θ 37.6, I 70
- d = 2.374 Å, 2θ 37.9, I 68
- d = 1.803 Å, 2θ 50.6, I 22
- d = 1.728 Å, 2θ 53.0, I 22

Crystal structure
a = 7.608 Å, b = 7.608 Å, c = 7.608 Å
α = 71.47°, β = 71.47°, γ = 71.47°
Fractional positions:
Nd (0.000, 0.000, 0.000)
Nd (0.165, 0.393, 0.664)
Nd (0.204, 0.204, 0.204)
Nd (0.336, 0.835, 0.607)
Nd (0.393, 0.664, 0.165)
Nd (0.607, 0.336, 0.835)
Nd (0.664, 0.165, 0.393)
Nd (0.796, 0.796, 0.796)
Nd (0.835, 0.607, 0.336)
Rh (0.044, 0.836, 0.411)
Rh (0.164, 0.589, 0.956)
Rh (0.411, 0.044, 0.836)
Rh (0.589, 0.956, 0.164)
Rh (0.836, 0.411, 0.044)
Rh (0.956, 0.164, 0.589)

Simulated powder XRD pattern
Compound: LaMg6Cu
Radiation: Cu Kα, 1.54184 Å
Structure: the GGA-PBE geometry in the Materials Project
Kinematic intensities with the Lorentz-polarization factor, no thermal factor.

Top 10 peaks for 10° ≤ 2θ ≤ 90°, by angle:
- d = 5.607 Å, 2θ 15.8, I 96
- d = 3.838 Å, 2θ 23.2, I 50
- d = 3.681 Å, 2θ 24.2, I 42
- d = 2.822 Å, 2θ 31.7, I 68
- d = 2.803 Å, 2θ 31.9, I 45
- d = 2.621 Å, 2θ 34.2, I 68
- d = 2.440 Å, 2θ 36.8, I 42
- d = 2.431 Å, 2θ 37.0, I 100
- d = 2.311 Å, 2θ 39.0, I 22
- d = 1.841 Å, 2θ 49.5, I 26

Crystal structure
a = 4.880 Å, b = 6.963 Å, c = 6.963 Å
α = 53.64°, β = 90.00°, γ = 90.00°
Fractional positions:
La (0.000, 0.000, 0.000)
Mg (0.000, 0.449, 0.449)
Mg (0.000, 0.476, 0.976)
Mg (0.000, 0.976, 0.476)
Mg (0.500, 0.107, 0.608)
Mg (0.500, 0.606, 0.606)
Mg (0.500, 0.608, 0.107)
Cu (0.500, 0.167, 0.167)

Simulated powder XRD pattern
Compound: LuSn2
Radiation: Cu Kα, 1.54184 Å
Structure: the GGA-PBE geometry in the Materials Project
Kinematic intensities with the Lorentz-polarization factor, no thermal factor.

Top 10 peaks for 10° ≤ 2θ ≤ 90°, by angle:
- d = 2.688 Å, 2θ 33.3, I 20
- d = 2.674 Å, 2θ 33.5, I 100
- d = 2.191 Å, 2θ 41.2, I 15
- d = 2.168 Å, 2θ 41.7, I 15
- d = 1.699 Å, 2θ 54.0, I 11
- d = 1.688 Å, 2θ 54.4, I 10
- d = 1.549 Å, 2θ 59.7, I 11
- d = 1.541 Å, 2θ 60.0, I 10
- d = 1.341 Å, 2θ 70.2, I 12
- d = 1.330 Å, 2θ 70.8, I 13

Crystal structure
a = 8.356 Å, b = 8.356 Å, c = 4.336 Å
α = 90.00°, β = 90.00°, γ = 149.59°
Fractional positions:
Lu (0.099, 0.901, 0.750)
Lu (0.901, 0.099, 0.250)
Sn (0.250, 0.750, 0.250)
Sn (0.435, 0.565, 0.750)
Sn (0.565, 0.435, 0.250)
Sn (0.750, 0.250, 0.750)